[1]
Starting from a PBE-relaxed structure, the XRD peak list of Tm3B2TeRh9 was computed for λ = 1.5418 Å (Cu Kα).

Peak list (12 most intense, 2θ = 15–90°, low angle first)
2θ/deg  d/Å  I_rel  h k l
20.2  4.387  124  0 0 2
26.9  3.316  108  0 1 2
30.6  2.924  214  0 0 3
36.9  2.434  752  0 2 1
41.2  2.194  1000  0 0 4
47.5  1.915  262  2 0 3
52.1  1.755  80  1 2 2
63.6  1.463  223  2 2 0
64.6  1.442  162  0 2 5
75.0  1.266  136  2 0 6
75.9  1.254  112  4 0 1
78.6  1.217  308  2 2 4

Cell and atoms:
Cell: 5.8508 5.8508 8.7717 Å, 90.00 90.00 120.00°
Space group P-3m1 (No. 164)
Unique sites:
Tm1 0.0000 0.0000 0.0000
Tm2 0.3333 0.6667 0.7187
B1 0.3333 0.6667 0.1471
Te1 0.0000 0.0000 0.5000
Rh1 0.0000 0.5000 0.0000
Rh2 0.1612 0.3224 0.2682

---

[2]
Starting from a PBE-relaxed structure, the XRD peak list of ThB4Rh4 was computed for λ = 1.5418 Å (Cu Kα).

Peak list (12 most intense, 2θ = 15–90°, low angle first)
2θ/deg  d/Å  I_rel  h k l
23.4  3.808  197  1 1 0
28.8  3.104  172  1 0 2
33.3  2.691  279  2 0 0
35.4  2.538  299  2 0 1
39.3  2.294  1000  1 0 3
41.1  2.197  98  2 0 2
44.5  2.034  130  2 1 2
53.8  1.703  151  2 2 2
59.5  1.554  101  3 1 2
63.5  1.465  244  3 0 3
69.8  1.347  87  4 0 0
70.0  1.345  149  2 2 4

Cell and atoms:
Cell: 5.387 5.387 7.597 Å, 90.00 90.00 90.00°
Space group P4_2/nmc (No. 137, origin choice 2)
Unique sites:
Th1 0.250 0.750 0.250
B1 0.084 0.250 0.099
Rh1 0.001 0.250 0.395

---

[3]
Starting from a PBE-relaxed structure, the XRD peak list of Th3B2Rh7 was computed for λ = 1.5418 Å (Cu Kα).

Peak list (12 most intense, 2θ = 15–90°, low angle first)
2θ/deg  d/Å  I_rel  h k l
20.8  4.261  55  0 0 1
32.0  2.795  73  0 6 1
36.0  2.496  1000  1 5 1
40.6  2.223  156  0 10 0
42.3  2.135  179  2 0 0
42.4  2.131  176  0 0 2
60.1  1.539  195  2 10 0
61.5  1.508  118  2 0 2
70.8  1.330  88  1 15 1
73.3  1.292  126  3 5 1
73.4  1.290  126  1 5 3
76.3  1.248  97  2 10 2

Cell and atoms:
Cell: 4.269 22.233 4.261 Å, 90.00 90.00 90.00°
Space group Cmmm (No. 65)
Unique sites:
Th1 0.000 0.000 0.000
Th2 0.000 0.187 0.000
B1 0.000 0.398 0.500
Rh1 0.000 0.094 0.500
Rh2 0.000 0.303 0.500
Rh3 0.000 0.405 0.000
Rh4 0.000 0.500 0.500

---

[4]
Starting from a PBE-relaxed structure, the XRD peak list of Th4TlB3Rh12 was computed for λ = 1.5418 Å (Cu Kα).

Peak list (12 most intense, 2θ = 15–90°, low angle first)
2θ/deg  d/Å  I_rel  h k l
28.5  3.128  381  2 2 0
32.0  2.798  80  3 1 0
35.1  2.554  1000  2 2 2
38.1  2.365  114  3 2 1
40.8  2.212  749  4 0 0
50.5  1.806  137  4 2 2
59.1  1.564  475  4 4 0
66.9  1.399  101  6 2 0
70.6  1.334  341  6 2 2
74.3  1.277  151  4 4 4
81.4  1.182  103  6 4 2
88.4  1.106  73  8 0 0

Cell and atoms:
Cell: 8.847 8.847 8.847 Å, 90.00 90.00 90.00°
Space group Im-3m (No. 229)
Unique sites:
Th1 0.250 0.250 0.250
Tl1 0.000 0.000 0.000
B1 0.000 0.000 0.500
Rh1 0.000 0.000 0.283
Rh2 0.000 0.250 0.500